(1)
Calculated powder X-ray diffraction pattern of BaCdPdPt for Cu Kα (λ = 1.5418 Å), from a structure optimized by DFT (PBE).

Principal peaks in the range 2θ from 15° to 90°, by angle:
hkl 0 0 1, 16.32 deg, rel. 57.6
hkl 2 0 -1, 22.35 deg, rel. 26.0
hkl 1 1 1, 30.90 deg, rel. 34.8
hkl 0 0 2, 32.97 deg, rel. 28.3
hkl 1 1 -2, 35.21 deg, rel. 26.9
hkl 0 2 0, 38.00 deg, rel. 100.0
hkl 3 1 0, 41.57 deg, rel. 22.1
hkl 0 2 2, 51.23 deg, rel. 32.2

Crystal structure
a = 8.2058 Å, b = 4.7352 Å, c = 6.0713 Å
α = 90.00°, β = 116.51°, γ = 90.00°
Fractional coordinates of all 8 atoms:
Ba1 0.0000 0.0000 0.0000
Ba2 0.5000 0.5000 0.0000
Cd1 0.0055 0.5000 0.5153
Cd2 0.5055 0.0000 0.5153
Pd1 0.3084 0.5000 0.4240
Pd2 0.8084 0.0000 0.4240
Pt1 0.1948 0.0000 0.5834
Pt2 0.6948 0.5000 0.5834

(2)
Calculated powder X-ray diffraction pattern of LaPm4Dy4 for Cu Kα (λ = 1.5418 Å), from a structure optimized by DFT (PBE).

Principal peaks in the range 2θ from 15° to 90°, by angle:
hkl 2 0 2, 30.27 deg, rel. 100.0
hkl 1 2 4, 35.09 deg, rel. 50.7
hkl 3 3 3, 50.47 deg, rel. 36.2
hkl 3 4 0, 59.96 deg, rel. 10.8
hkl 4 1 1, 60.00 deg, rel. 32.3
hkl 4 0 4, 62.95 deg, rel. 12.4
hkl 5 3 5, 82.13 deg, rel. 11.8
hkl 5 4 2, 84.76 deg, rel. 12.3

Crystal structure
a = 6.2645 Å, b = 9.5671 Å, c = 10.8464 Å
α = 75.46°, β = 73.23°, γ = 83.71°
Fractional coordinates of all 18 atoms:
La1 0.0534 0.0838 0.1965
La2 0.9466 0.9162 0.8035
Pm1 0.1660 0.2532 0.5821
Pm2 0.2766 0.4179 0.9712
Pm3 0.3899 0.0848 0.8590
Pm4 0.4993 0.2516 0.2512
Pm5 0.5007 0.7484 0.7488
Pm6 0.6101 0.9152 0.1410
Pm7 0.7234 0.5821 0.0288
Pm8 0.8340 0.7468 0.4179
Dy1 0.0573 0.5815 0.6925
Dy2 0.1687 0.7473 0.0855
Dy3 0.2803 0.9155 0.4721
Dy4 0.3876 0.5832 0.3626
Dy5 0.6124 0.4168 0.6374
Dy6 0.7197 0.0845 0.5279
Dy7 0.8313 0.2527 0.9145
Dy8 0.9427 0.4185 0.3075

Copy entry 1 word for word.
Calculated powder X-ray diffraction pattern of BaCdPdPt for Cu Kα (λ = 1.5418 Å), from a structure optimized by DFT (PBE).

Principal peaks in the range 2θ from 15° to 90°, by angle:
hkl 0 0 1, 16.32 deg, rel. 57.6
hkl 2 0 -1, 22.35 deg, rel. 26.0
hkl 1 1 1, 30.90 deg, rel. 34.8
hkl 0 0 2, 32.97 deg, rel. 28.3
hkl 1 1 -2, 35.21 deg, rel. 26.9
hkl 0 2 0, 38.00 deg, rel. 100.0
hkl 3 1 0, 41.57 deg, rel. 22.1
hkl 0 2 2, 51.23 deg, rel. 32.2

Crystal structure
a = 8.2058 Å, b = 4.7352 Å, c = 6.0713 Å
α = 90.00°, β = 116.51°, γ = 90.00°
Fractional coordinates of all 8 atoms:
Ba1 0.0000 0.0000 0.0000
Ba2 0.5000 0.5000 0.0000
Cd1 0.0055 0.5000 0.5153
Cd2 0.5055 0.0000 0.5153
Pd1 0.3084 0.5000 0.4240
Pd2 0.8084 0.0000 0.4240
Pt1 0.1948 0.0000 0.5834
Pt2 0.6948 0.5000 0.5834